This entry pairs a crystal structure of Na2MgTcS4 with its computed PXRD pattern. Radiation: Cu Ka. Structure: a GGA-PBE-relaxed structure.
Neutral-atom scattering factors, no anomalous dispersion.

Principal peaks in the range 2θ = 10–80°, sorted by position:
hkl, 2theta, I/Imax
1 1 -1, 16.60, 72
0 0 1, 19.53, 15
0 2 1, 27.03, 100
0 0 2, 39.66, 27
2 4 0, 47.30, 35
2 2 1, 48.66, 30

Structure:
```
data_Na2MgTcS4
_chemical_formula_sum 'Na4 Mg2 Tc2 S8'
_symmetry_space_group_name_H-M 'C 1 2 1'
_symmetry_Int_Tables_number 5
_symmetry_space_group_name_Hall 'C 2y'
_cell_length_a 9.086
_cell_length_b 9.593
_cell_length_c 6.426
_cell_angle_alpha 90.00
_cell_angle_beta 134.97
_cell_angle_gamma 90.00
loop_
_atom_site_label
_atom_site_type_symbol
_atom_site_fract_x
_atom_site_fract_y
_atom_site_fract_z
Na1 Na 0.000 0.000 0.000
Na2 Na 0.000 0.249 0.500
Mg1 Mg 0.000 0.750 0.500
Tc1 Tc 0.000 0.500 0.000
S1 S 0.191 0.622 0.961
S2 S 0.230 0.377 0.422
```


This entry pairs a crystal structure of Nb2CdPb with its computed PXRD pattern. Radiation: Cu Ka. Structure: a GGA-PBE-relaxed structure.
Neutral-atom scattering factors, no anomalous dispersion.

Principal peaks in the range 2θ = 10–80°, sorted by position:
hkl, 2theta, I/Imax
1 1 1, 22.25, 10
2 2 0, 36.73, 100
3 1 1, 43.37, 6
4 0 0, 52.93, 17
4 2 2, 66.16, 35
4 4 0, 78.13, 11

Structure:
```
data_Nb2CdPb
_chemical_formula_sum 'Nb8 Cd4 Pb4'
_symmetry_space_group_name_H-M 'F -4 3 m'
_symmetry_Int_Tables_number 216
_symmetry_space_group_name_Hall 'F -4 2 3'
_cell_length_a 6.920
_cell_length_b 6.920
_cell_length_c 6.920
_cell_angle_alpha 90.00
_cell_angle_beta 90.00
_cell_angle_gamma 90.00
loop_
_atom_site_label
_atom_site_type_symbol
_atom_site_fract_x
_atom_site_fract_y
_atom_site_fract_z
Nb1 Nb 0.000 0.000 0.000
Nb2 Nb 0.250 0.250 0.250
Cd1 Cd 0.250 0.250 0.750
Pb1 Pb 0.000 0.000 0.500
```